This entry pairs a crystal structure of PmMgAlCu with its theoretical XRD peak list. Radiation: λ = 1.5418 Å (Cu Kα). Structure: a structure optimized by DFT (PBE).
Neutral-atom scattering factors, no anomalous dispersion.

Cell and atoms:
abc: 6.9083 6.9083 6.9083
angles: 90.00 90.00 90.00
Space group F-43m (No. 216)
Asymmetric unit:
Pm: 0.0000 0.0000 0.0000 x4
Mg: 0.0000 0.0000 0.5000 x4
Al: 0.2500 0.2500 0.7500 x4
Cu: 0.2500 0.2500 0.2500 x4

Peak list (10 most intense, 2θ from 10° to 90°, low angle first)
| hkl | 2theta | I/Imax |
| --- | --- | --- |
| 1 1 1 | 22.29 | 54.3 |
| 2 0 0 | 25.79 | 10.0 |
| 2 2 0 | 36.80 | 100.0 |
| 3 1 1 | 43.45 | 28.6 |
| 4 0 0 | 53.02 | 17.1 |
| 3 3 1 | 58.21 | 12.0 |
| 4 2 2 | 66.28 | 34.2 |
| 4 4 0 | 78.29 | 10.5 |
| 5 3 1 | 82.63 | 8.9 |
| 6 2 0 | 89.79 | 15.2 |

This entry pairs a crystal structure of In3AgBr6 with its theoretical XRD peak list. Radiation: λ = 1.5418 Å (Cu Kα). Structure: a structure optimized by DFT (PBE).
Neutral-atom scattering factors, no anomalous dispersion.

Cell and atoms:
abc: 7.4522 7.9353 13.0448
angles: 90.00 124.11 90.00
Space group P2_1/c (No. 14)
Asymmetric unit:
In: 0.0000 0.0000 0.0000 x2
In: 0.2807 0.0864 0.7522 x4
Ag: 0.5000 0.0000 0.5000 x2
Br: 0.1514 0.0149 0.2459 x4
Br: 0.2274 0.7069 0.0431 x4
Br: 0.3437 0.1867 0.0418 x4

Peak list (10 most intense, 2θ from 10° to 90°, low angle first)
| hkl | 2theta | I/Imax |
| --- | --- | --- |
| 1 1 -1 | 16.34 | 40.3 |
| 1 1 1 | 23.12 | 46.8 |
| 1 1 -3 | 23.33 | 50.0 |
| 1 0 -4 | 27.63 | 43.8 |
| 2 2 -2 | 32.98 | 100.0 |
| 0 0 4 | 33.18 | 90.5 |
| 1 3 -1 | 36.03 | 51.7 |
| 1 3 0 | 36.95 | 37.6 |
| 3 1 -1 | 41.41 | 45.4 |
| 3 1 -5 | 41.81 | 43.4 |

This entry pairs a crystal structure of Ho2ErSc3Bi6 with its theoretical XRD peak list. Radiation: λ = 1.5418 Å (Cu Kα). Structure: a structure optimized by DFT (PBE).
Neutral-atom scattering factors, no anomalous dispersion.

Cell and atoms:
abc: 7.5584 13.0958 7.5491
angles: 90.00 109.48 90.00
Space group C2/m (No. 12)
Asymmetric unit:
Ho: 0.0000 0.1666 0.0000 x4
Er: 0.0000 0.5000 0.0000 x2
Sc: 0.0000 0.0000 0.5000 x2
Sc: 0.0000 0.3329 0.5000 x4
Bi: 0.2448 0.5000 0.7365 x4
Bi: 0.2460 0.1663 0.7369 x8

Peak list (10 most intense, 2θ from 10° to 90°, low angle first)
| hkl | 2theta | I/Imax |
| --- | --- | --- |
| 1 3 0 | 23.91 | 7.0 |
| 2 0 0 | 25.00 | 19.8 |
| 1 3 1 | 28.95 | 100.0 |
| 2 0 1 | 31.61 | 6.4 |
| 0 6 0 | 41.39 | 76.7 |
| 2 6 0 | 48.97 | 10.4 |
| 4 0 0 | 51.30 | 27.4 |
| 2 6 2 | 59.98 | 12.8 |
| 4 6 0 | 67.95 | 35.2 |
| 6 0 -2 | 75.47 | 20.1 |

This entry pairs a crystal structure of U3Al19Ni5 with its theoretical XRD peak list. Radiation: λ = 1.5418 Å (Cu Kα). Structure: a structure optimized by DFT (PBE).
Neutral-atom scattering factors, no anomalous dispersion.

Cell and atoms:
abc: 4.0705 15.9395 27.0536
angles: 90.00 90.00 90.00
Space group Cmcm (No. 63)
Asymmetric unit:
U: 0.0000 0.1155 0.2500 x4
U: 0.0000 0.3324 0.1360 x8
Al: 0.0000 0.0373 0.6017 x8
Al: 0.0000 0.0790 0.7012 x8
Al: 0.0000 0.0927 0.0373 x8
Al: 0.0000 0.1312 0.1360 x8
Al: 0.0000 0.2640 0.0295 x8
Al: 0.0000 0.2759 0.6937 x8
Al: 0.0000 0.2913 0.5894 x8
Al: 0.0000 0.3063 0.2500 x4
Al: 0.0000 0.4321 0.0311 x8
Al: 0.0000 0.4639 0.6740 x8
Ni: 0.0000 0.1594 0.5421 x8
Ni: 0.0000 0.4470 0.5843 x8
Ni: 0.0000 0.4558 0.2500 x4

Peak list (10 most intense, 2θ from 10° to 90°, low angle first)
| hkl | 2theta | I/Imax |
| --- | --- | --- |
| 0 2 3 | 14.83 | 70.4 |
| 0 2 5 | 19.83 | 50.2 |
| 1 1 1 | 22.79 | 67.0 |
| 1 1 4 | 26.16 | 46.5 |
| 1 3 4 | 30.66 | 91.5 |
| 1 5 0 | 35.78 | 33.0 |
| 1 5 1 | 35.94 | 45.0 |
| 1 1 9 | 37.63 | 100.0 |
| 1 5 5 | 39.58 | 34.2 |
| 2 0 0 | 44.52 | 50.0 |